Record 1
Diffraction record for LiCoSiO4. The powder diffractogram is computed, not measured: it uses a GGA+U-relaxed structure and Cu Kα X-rays.
Lines closer than 0.1° are merged.

Atomic structure:
```
LiCoSiO4
1.0
10.1750 0.0000 0.0000
0.0000 6.1037 0.0000
0.0000 0.0000 4.6866
Li Co Si O
4 4 4 16
direct
0.2191 0.2500 0.0376
0.2809 0.7500 0.5376
0.7191 0.2500 0.4624
0.7809 0.7500 0.9624
0.0000 0.0000 0.5000
0.0000 0.5000 0.5000
0.5000 0.0000 0.0000
0.5000 0.5000 0.0000
0.0873 0.7500 0.0908
0.4127 0.2500 0.5908
0.5873 0.7500 0.4092
0.9127 0.2500 0.9092
0.0603 0.2500 0.7338
0.0889 0.7500 0.7475
0.1446 0.5243 0.2397
0.1446 0.9757 0.2397
0.3554 0.0243 0.7397
0.3554 0.4757 0.7397
0.4111 0.2500 0.2475
0.4397 0.7500 0.2338
0.5603 0.2500 0.7662
0.5889 0.7500 0.7525
0.6446 0.5243 0.2603
0.6446 0.9757 0.2603
0.8554 0.0243 0.7603
0.8554 0.4757 0.7603
0.9111 0.2500 0.2525
0.9397 0.7500 0.2662
```

Principal peaks in the range 2θ from 15° to 90°, by angle:
(2 0 0), d = 5.087 Å, rel. 100
(1 0 1), d = 4.257 Å, rel. 30
(2 1 0), d = 3.908 Å, rel. 17
(3 0 1), d = 2.748 Å, rel. 29
(1 2 1), d = 2.480 Å, rel. 58
(3 2 1), d = 2.042 Å, rel. 17
(2 2 2), d = 1.746 Å, rel. 21
(6 2 0), d = 1.482 Å, rel. 14

Record 2
Diffraction record for Li5Co4Si6O20. The powder diffractogram is computed, not measured: it uses a GGA+U-relaxed structure and Cu Kα X-rays.
Lines closer than 0.1° are merged.

Atomic structure:
```
Li5Co4Si6O20
1.0
5.3413 0.0000 0.0000
-2.6452 4.7227 0.0000
-0.0566 -1.4070 16.9930
Li Co Si O
5 4 6 20
direct
0.0000 0.0000 0.0000
0.0142 0.9142 0.6850
0.5062 0.9048 0.2847
0.6616 0.9002 0.7905
0.6791 0.8007 0.4883
0.0153 0.5817 0.8202
0.6549 0.2147 0.6475
0.8516 0.2310 0.1506
0.8554 0.5917 0.3214
0.1708 0.2460 0.3370
0.3135 0.5603 0.6426
0.3527 0.2479 0.8408
0.5425 0.5795 0.1407
0.7043 0.4078 0.9875
0.9843 0.4051 0.4887
0.0350 0.5549 0.6882
0.0613 0.9628 0.8056
0.0820 0.2152 0.4289
0.1713 0.9498 0.3082
0.2186 0.3078 0.1360
0.2782 0.6063 0.5469
0.3167 0.2651 0.6518
0.3383 0.5400 0.8273
0.3858 0.2271 0.9373
0.4748 0.5379 0.3274
0.5547 0.8732 0.1743
0.6132 0.8405 0.6761
0.6382 0.2610 0.7999
0.6757 0.6339 0.0523
0.7343 0.1722 0.5369
0.7536 0.5054 0.1932
0.7777 0.1987 0.0338
0.8882 0.5935 0.4374
0.9119 0.2687 0.2904
0.9420 0.6215 0.9304
```

Principal peaks in the range 2θ from 15° to 90°, by angle:
(0 1 0), d = 4.707 Å, rel. 100
(1 0 0), d = 4.649 Å, rel. 45
(1 0 -1), d = 4.541 Å, rel. 34
(1 -1 1), d = 4.516 Å, rel. 37
(1 -1 2), d = 4.136 Å, rel. 41
(1 0 2), d = 4.008 Å, rel. 64
(0 0 6), d = 2.832 Å, rel. 89
(1 -2 1), d = 2.695 Å, rel. 35